# CsRb4Zn3F12
Computed PXRD pattern, Cu Kα (weighted mean of Kα1 and Kα2). Input: a PBE-relaxed structure.
Neutral-atom scattering factors, no anomalous dispersion.

Main lines, sorted by position (2θ from 15° to 90°):
Position (°2θ), I/Imax
28.22, 100
34.74, 5
37.63, 3
40.33, 40
49.95, 38
58.36, 24
66.06, 19
73.33, 7
80.33, 21
87.18, 3

Atomic structure:
a = 7.746 Å, b = 7.746 Å, c = 7.746 Å
α = 109.47°, β = 109.47°, γ = 109.47°
Fractional positions:
Cs 0.000 0.000 0.000
Rb 0.000 0.000 0.500
Rb 0.000 0.500 0.000
Rb 0.500 0.000 0.000
Rb 0.500 0.500 0.500
Zn 0.000 0.500 0.500
Zn 0.500 0.000 0.500
Zn 0.500 0.500 0.000
F 0.000 0.292 0.292
F 0.000 0.708 0.708
F 0.250 0.500 0.750
F 0.250 0.750 0.500
F 0.292 0.000 0.292
F 0.292 0.292 0.000
F 0.500 0.250 0.750
F 0.500 0.750 0.250
F 0.708 0.000 0.708
F 0.708 0.708 0.000
F 0.750 0.250 0.500
F 0.750 0.500 0.250